No. 1
This entry pairs a crystal structure of Li3NdSm2Pb3 with its simulated powder diffractogram. Radiation: Cu Kα X-rays. Structure: a DFT-relaxed cell (PBE, OQMD).

Main lines, low angle first (10 to 90 degrees two-theta):
d 3.921, 22.68 deg, intensity 42; d 3.371, 26.44 deg, intensity 37; d 2.814, 31.80 deg, intensity 100; d 2.410, 37.32 deg, intensity 63; d 1.830, 49.82 deg, intensity 29; d 1.495, 62.10 deg, intensity 28; d 1.458, 63.86 deg, intensity 28; d 1.391, 67.30 deg, intensity 11; d 1.124, 86.64 deg, intensity 12; d 1.108, 88.22 deg, intensity 12

Structural model:
Lattice parameters (Å, degrees): 4.8195 4.8195 11.4330 90.00 90.00 120.00
Space group P-6m2 (No. 187)
Inequivalent atoms, fractional coordinates:
Li 0.0000 0.0000 0.0000
Li 0.3333 0.6667 0.3093
Nd 0.6667 0.3333 0.5000
Sm 0.6667 0.3333 0.1635
Pb 0.0000 0.0000 0.3252
Pb 0.3333 0.6667 0.0000

No. 2
This entry pairs a crystal structure of Dy2Zn5Cu5 with its simulated powder diffractogram. Radiation: Cu Kα X-rays. Structure: a DFT-relaxed cell (PBE, OQMD).

Main lines, low angle first (10 to 90 degrees two-theta):
d 3.038, 29.40 deg, intensity 73; d 2.556, 35.11 deg, intensity 30; d 2.220, 40.64 deg, intensity 37; d 2.210, 40.83 deg, intensity 17; d 2.186, 41.29 deg, intensity 51; d 2.179, 41.43 deg, intensity 100; d 2.085, 43.39 deg, intensity 42; d 1.520, 60.95 deg, intensity 22; d 1.395, 67.10 deg, intensity 23; d 1.222, 78.25 deg, intensity 23

Structural model:
Lattice parameters (Å, degrees): 4.1710 5.1351 8.8414 90.00 90.00 90.00
Space group Pmmm (No. 47)
Inequivalent atoms, fractional coordinates:
Dy 0.0000 0.0000 0.0000
Dy 0.0000 0.5000 0.5000
Zn 0.5000 0.0000 0.5000
Zn 0.5000 0.2506 0.2453
Cu 0.0000 0.0000 0.3344
Cu 0.0000 0.5000 0.1634
Cu 0.5000 0.5000 0.0000

No. 3
This entry pairs a crystal structure of TbEr2Ni4Ge4 with its simulated powder diffractogram. Radiation: Cu Kα X-rays. Structure: a DFT-relaxed cell (PBE, OQMD).

Main lines, low angle first (10 to 90 degrees two-theta):
d 2.545, 35.26 deg, intensity 100; d 2.503, 35.88 deg, intensity 31; d 2.420, 37.15 deg, intensity 100; d 2.246, 40.15 deg, intensity 33; d 2.031, 44.61 deg, intensity 37; d 2.007, 45.17 deg, intensity 29; d 1.545, 59.86 deg, intensity 18; d 1.428, 65.36 deg, intensity 19; d 1.296, 72.98 deg, intensity 16; d 1.195, 80.36 deg, intensity 15

Structural model:
Lattice parameters (Å, degrees): 4.0624 6.7310 13.4809 90.00 90.00 90.00
Space group Immm (No. 71)
Inequivalent atoms, fractional coordinates:
Tb 0.0000 0.0000 0.0000
Er 0.0000 0.5000 0.1295
Ni 0.0000 0.3037 0.3227
Ge 0.0000 0.0000 0.2178
Ge 0.0000 0.1926 0.5000

No. 4
This entry pairs a crystal structure of AlTc with its simulated powder diffractogram. Radiation: Cu Kα X-rays. Structure: a DFT-relaxed cell (PBE, OQMD).

Main lines, low angle first (10 to 90 degrees two-theta):
d 3.094, 28.85 deg, intensity 46; d 2.989, 29.90 deg, intensity 25; d 2.479, 36.24 deg, intensity 13; d 2.218, 40.68 deg, intensity 16; d 2.160, 41.83 deg, intensity 30; d 2.150, 42.03 deg, intensity 100; d 1.973, 46.01 deg, intensity 22; d 1.547, 59.77 deg, intensity 10; d 1.245, 76.52 deg, intensity 16; d 1.129, 86.09 deg, intensity 12

Structural model:
Lattice parameters (Å, degrees): 4.3192 2.9887 4.4353 90.00 90.00 90.00
Space group Pmma (No. 51)
Inequivalent atoms, fractional coordinates:
Al 0.2500 0.0000 0.1909
Tc 0.2500 0.5000 0.6879

No. 5
This entry pairs a crystal structure of NdMg with its simulated powder diffractogram. Radiation: Cu Kα X-rays. Structure: a DFT-relaxed cell (PBE, OQMD).

Main lines, low angle first (10 to 90 degrees two-theta):
d 8.698, 10.17 deg, intensity 25; d 3.991, 22.27 deg, intensity 23; d 3.348, 26.63 deg, intensity 20; d 3.016, 29.62 deg, intensity 25; d 2.794, 32.03 deg, intensity 25; d 2.654, 33.77 deg, intensity 100; d 2.050, 44.19 deg, intensity 16; d 1.741, 52.57 deg, intensity 17; d 1.585, 58.22 deg, intensity 20; d 1.478, 62.90 deg, intensity 20

Structural model:
Lattice parameters (Å, degrees): 5.5881 17.3969 6.0355 90.00 90.00 90.00
Space group Amm2 (No. 38)
Inequivalent atoms, fractional coordinates:
Nd 0.0000 0.0000 0.0000
Nd 0.0000 0.1040 0.5272
Nd 0.5000 0.1070 0.1597
Mg 0.0000 0.2041 0.0002
Mg 0.5000 0.0000 0.6633
Mg 0.5000 0.2002 0.6830

No. 6
This entry pairs a crystal structure of SmNbTl with its simulated powder diffractogram. Radiation: Cu Kα X-rays. Structure: a DFT-relaxed cell (PBE, OQMD).

Main lines, low angle first (10 to 90 degrees two-theta):
d 4.044, 21.98 deg, intensity 51; d 2.476, 36.28 deg, intensity 100; d 2.112, 42.82 deg, intensity 27; d 1.751, 52.24 deg, intensity 18; d 1.607, 57.34 deg, intensity 12; d 1.430, 65.26 deg, intensity 36; d 1.348, 69.77 deg, intensity 9; d 1.238, 77.01 deg, intensity 11; d 1.184, 81.25 deg, intensity 9; d 1.107, 88.23 deg, intensity 16

Structural model:
Lattice parameters (Å, degrees): 7.0044 7.0044 7.0044 90.00 90.00 90.00
Space group F-43m (No. 216)
Inequivalent atoms, fractional coordinates:
Sm 0.0000 0.0000 0.0000
Nb 0.0000 0.0000 0.5000
Tl 0.2500 0.2500 0.7500

No. 7
This entry pairs a crystal structure of PrGaGePtAu with its simulated powder diffractogram. Radiation: Cu Kα X-rays. Structure: a DFT-relaxed cell (PBE, OQMD).

Main lines, low angle first (10 to 90 degrees two-theta):
d 2.968, 30.11 deg, intensity 24; d 2.742, 32.65 deg, intensity 53; d 2.668, 33.59 deg, intensity 100; d 2.186, 41.29 deg, intensity 70; d 2.008, 45.15 deg, intensity 36; d 1.902, 47.82 deg, intensity 27; d 1.710, 53.61 deg, intensity 26; d 1.546, 59.82 deg, intensity 24; d 1.435, 64.99 deg, intensity 22; d 1.338, 70.38 deg, intensity 23

Structural model:
Lattice parameters (Å, degrees): 4.3729 4.3729 10.5619 90.00 90.00 90.00
Space group P4/nmm (No. 129, origin choice 2)
Inequivalent atoms, fractional coordinates:
Pr 0.2500 0.2500 0.2416
Ga 0.2500 0.7500 0.5000
Ge 0.2500 0.2500 0.8761
Pt 0.2500 0.7500 0.0000
Au 0.2500 0.2500 0.6361

No. 8
This entry pairs a crystal structure of MgZr with its simulated powder diffractogram. Radiation: Cu Kα X-rays. Structure: a DFT-relaxed cell (PBE, OQMD).

Main lines, low angle first (10 to 90 degrees two-theta):
d 8.281, 10.68 deg, intensity 37; d 3.596, 24.76 deg, intensity 19; d 2.822, 31.71 deg, intensity 18; d 2.694, 33.25 deg, intensity 16; d 2.523, 35.58 deg, intensity 33; d 2.463, 36.48 deg, intensity 100; d 2.377, 37.85 deg, intensity 33; d 1.579, 58.45 deg, intensity 14; d 1.445, 64.49 deg, intensity 18; d 1.339, 70.33 deg, intensity 16

Structural model:
Lattice parameters (Å, degrees): 5.0466 16.5626 5.3888 90.00 90.00 90.00
Space group Amm2 (No. 38)
Inequivalent atoms, fractional coordinates:
Mg 0.0000 0.0000 0.0000
Mg 0.0000 0.1007 0.4951
Mg 0.5000 0.1005 0.1341
Zr 0.0000 0.1996 0.9842
Zr 0.5000 0.0000 0.6351
Zr 0.5000 0.1993 0.6248